For BaSrLaWO6, a DFT-relaxed cell (GGA+U, the Materials Project) gives the theoretical powder X-ray diffraction pattern in this record (Cu Kα X-rays).
No peak broadening, texture or thermal motion is included.

Structural model:
```
data_BaSrLaWO6
_chemical_formula_sum 'Ba4 Sr4 La4 W4 O24'
_cell_length_a 8.639
_cell_length_b 8.651
_cell_length_c 8.660
_cell_angle_alpha 90.00
_cell_angle_beta 90.00
_cell_angle_gamma 90.00
_symmetry_space_group_name_H-M 'P 2 2 2'
_symmetry_Int_Tables_number 16
loop_
_symmetry_equiv_pos_as_xyz
'x,y,z'
'-x,-y,z'
'x,-y,-z'
'-x,y,-z'
loop_
_atom_site_label
_atom_site_type_symbol
_atom_site_fract_x
_atom_site_fract_y
_atom_site_fract_z
Ba1 Ba 0.000 0.000 0.000
Ba2 Ba 0.000 0.500 0.000
Ba3 Ba 0.500 0.000 0.000
Ba4 Ba 0.500 0.500 0.500
Sr1 Sr 0.000 0.000 0.500
Sr2 Sr 0.000 0.500 0.500
Sr3 Sr 0.500 0.000 0.500
Sr4 Sr 0.500 0.500 0.000
La1 La 0.250 0.250 0.252
W1 W 0.250 0.250 0.747
O1 O 0.020 0.282 0.778
O2 O 0.211 0.293 0.519
O3 O 0.213 0.022 0.710
O4 O 0.279 0.220 0.978
O5 O 0.292 0.478 0.787
O6 O 0.478 0.209 0.708
```

Top 6 peaks for 2θ = 10–90°, in order of rising 2θ:
2theta, I_rel, index
29.2, 100, 2 2 0
41.7, 18, 0 4 0
51.8, 44, 4 2 2
60.6, 16, 4 4 0
68.6, 12, 2 6 0
83.6, 15, 4 6 2